Mg4H3Ir3: theoretical XRD peak list (Cu Kα (weighted mean of Kα1 and Kα2)), based on a cell relaxed with GGA-PBE.
Peak positions follow from Bragg's law for the DFT cell and can differ from measured ones.

Atomic structure:
a = 5.4970 Å, b = 5.4970 Å, c = 6.2460 Å
α = 124.61°, β = 124.61°, γ = 71.18°
Fractional coordinates of all 10 atoms:
Mg1 0.2425 0.7575 0.0000
Mg2 0.2426 0.7281 0.4854
Mg3 0.7281 0.2426 0.4854
Mg4 0.7575 0.2425 0.0000
H1 0.2435 0.2435 0.2436
H2 0.7426 0.7426 0.2629
H3 0.7426 0.7426 0.7224
Ir1 0.2428 0.2428 0.5230
Ir2 0.2427 0.2427 0.9626
Ir3 0.7426 0.7426 0.9927

Most intense lines, 10 to 90 degrees two-theta, most intense first:
| Position (°2θ) | Rel. int. |
| --- | --- |
| 40.4 | 100 |
| 27.9 | 71 |
| 19.9 | 59 |
| 39.8 | 57 |
| 72.7 | 36 |
| 34.5 | 31 |
| 28.6 | 28 |
| 19.6 | 27 |
| 49.8 | 26 |
| 57.6 | 20 |

---

Cr3Ge: theoretical XRD peak list (Cu Kα (weighted mean of Kα1 and Kα2)), based on a cell relaxed with GGA-PBE.
Peak positions follow from Bragg's law for the DFT cell and can differ from measured ones.

Atomic structure:
a = 4.5813 Å, b = 4.5813 Å, c = 4.5813 Å
α = 90.00°, β = 90.00°, γ = 90.00°
Fractional coordinates of all 8 atoms:
Cr1 0.0000 0.2500 0.5000
Cr2 0.0000 0.7500 0.5000
Cr3 0.2500 0.5000 0.0000
Cr4 0.5000 0.0000 0.2500
Cr5 0.5000 0.0000 0.7500
Cr6 0.7500 0.5000 0.0000
Ge1 0.0000 0.0000 0.0000
Ge2 0.5000 0.5000 0.5000

Most intense lines, 10 to 90 degrees two-theta, most intense first:
| Position (°2θ) | Rel. int. |
| --- | --- |
| 48.7 | 100 |
| 44.2 | 91 |
| 39.3 | 48 |
| 78.0 | 46 |
| 74.7 | 16 |
| 84.6 | 15 |
| 27.5 | 6 |
| 71.3 | 3 |
| 64.3 | 2 |
| 56.8 | 1 |

---

YHo5Tm12: theoretical XRD peak list (Cu Kα (weighted mean of Kα1 and Kα2)), based on a cell relaxed with GGA-PBE.
Peak positions follow from Bragg's law for the DFT cell and can differ from measured ones.

Atomic structure:
a = 9.5411 Å, b = 9.5411 Å, c = 8.2233 Å
α = 101.14°, β = 101.14°, γ = 120.14°
Fractional coordinates of all 18 atoms:
Y1 0.0000 0.0000 0.0000
Ho1 0.1672 0.8328 0.5000
Ho2 0.3326 0.6674 0.0000
Ho3 0.5000 0.5000 0.5000
Ho4 0.6674 0.3326 0.0000
Ho5 0.8328 0.1672 0.5000
Tm1 0.0316 0.6981 0.0960
Tm2 0.1117 0.4449 0.3339
Tm3 0.2205 0.2205 0.6648
Tm4 0.3019 0.9684 0.9040
Tm5 0.3677 0.3677 0.0959
Tm6 0.4449 0.1117 0.3339
Tm7 0.5551 0.8883 0.6661
Tm8 0.6323 0.6323 0.9041
Tm9 0.6981 0.0316 0.0960
Tm10 0.7795 0.7795 0.3352
Tm11 0.8883 0.5551 0.6661
Tm12 0.9684 0.3019 0.9040

Most intense lines, 10 to 90 degrees two-theta, most intense first:
| Position (°2θ) | Rel. int. |
| --- | --- |
| 32.5 | 100 |
| 33.4 | 42 |
| 36.8 | 32 |
| 27.1 | 26 |
| 19.0 | 14 |
| 49.9 | 14 |
| 58.0 | 13 |
| 60.2 | 12 |
| 24.4 | 12 |
| 58.6 | 11 |

---

MgP4Br12O4: theoretical XRD peak list (Cu Kα (weighted mean of Kα1 and Kα2)), based on a cell relaxed with GGA-PBE.
Peak positions follow from Bragg's law for the DFT cell and can differ from measured ones.

Atomic structure:
a = 8.0104 Å, b = 10.5677 Å, c = 9.8646 Å
α = 90.00°, β = 98.25°, γ = 90.00°
Fractional coordinates of all 21 atoms:
Mg1 0.0000 0.0000 0.0000
P1 0.0577 0.0000 0.6608
P2 0.3989 0.5000 0.8013
P3 0.4006 0.0000 0.1894
P4 0.8422 0.5000 0.2646
Br1 0.0588 0.5000 0.4287
Br2 0.1704 0.1731 0.1391
Br3 0.1704 0.8269 0.1391
Br4 0.1832 0.1654 0.5928
Br5 0.1832 0.8346 0.5928
Br6 0.1875 0.5000 0.9210
Br7 0.5507 0.3334 0.8745
Br8 0.5507 0.6666 0.8745
Br9 0.6900 0.3355 0.3106
Br10 0.6900 0.6645 0.3106
Br11 0.6939 0.0000 0.9765
Br12 0.8026 0.0000 0.5496
O1 0.0624 0.0000 0.8127
O2 0.3459 0.5000 0.6512
O3 0.4588 0.0000 0.3389
O4 0.8868 0.5000 0.1247

Most intense lines, 10 to 90 degrees two-theta, most intense first:
| Position (°2θ) | Rel. int. |
| --- | --- |
| 20.0 | 100 |
| 27.7 | 79 |
| 28.4 | 31 |
| 15.8 | 30 |
| 17.5 | 30 |
| 13.3 | 29 |
| 22.4 | 28 |
| 21.7 | 26 |
| 37.2 | 18 |
| 32.2 | 17 |

---

What did the third record say?
YHo5Tm12: theoretical XRD peak list (Cu Kα (weighted mean of Kα1 and Kα2)), based on a cell relaxed with GGA-PBE.
Peak positions follow from Bragg's law for the DFT cell and can differ from measured ones.

Atomic structure:
a = 9.5411 Å, b = 9.5411 Å, c = 8.2233 Å
α = 101.14°, β = 101.14°, γ = 120.14°
Fractional coordinates of all 18 atoms:
Y1 0.0000 0.0000 0.0000
Ho1 0.1672 0.8328 0.5000
Ho2 0.3326 0.6674 0.0000
Ho3 0.5000 0.5000 0.5000
Ho4 0.6674 0.3326 0.0000
Ho5 0.8328 0.1672 0.5000
Tm1 0.0316 0.6981 0.0960
Tm2 0.1117 0.4449 0.3339
Tm3 0.2205 0.2205 0.6648
Tm4 0.3019 0.9684 0.9040
Tm5 0.3677 0.3677 0.0959
Tm6 0.4449 0.1117 0.3339
Tm7 0.5551 0.8883 0.6661
Tm8 0.6323 0.6323 0.9041
Tm9 0.6981 0.0316 0.0960
Tm10 0.7795 0.7795 0.3352
Tm11 0.8883 0.5551 0.6661
Tm12 0.9684 0.3019 0.9040

Most intense lines, 10 to 90 degrees two-theta, most intense first:
| Position (°2θ) | Rel. int. |
| --- | --- |
| 32.5 | 100 |
| 33.4 | 42 |
| 36.8 | 32 |
| 27.1 | 26 |
| 19.0 | 14 |
| 49.9 | 14 |
| 58.0 | 13 |
| 60.2 | 12 |
| 24.4 | 12 |
| 58.6 | 11 |